Record 1
Simulated X-ray powder pattern
Compound: Rb2CuAuBr4Cl2
Radiation: Cu Kα X-rays
Structure: DFT lattice parameters and positions (PBE)
Kinematic intensities with the Lorentz-polarization factor, no thermal factor.

Most intense lines, 2θ = 5–70°, by angle:
14.24°, intensity 36; 16.31°, intensity 51; 23.30°, intensity 100; 27.28°, intensity 22; 28.70°, intensity 35; 32.97°, intensity 44; 33.40°, intensity 94; 37.40°, intensity 30; 41.13°, intensity 44; 47.64°, intensity 60; 47.96°, intensity 32; 59.43°, intensity 30

Structure:
Unit cell a=7.636 b=7.636 c=7.636 alpha=120.42 beta=120.42 gamma=89.28
Sites, in units of the cell vectors:
Rb (0.250, 0.750, 0.500)
Rb (0.750, 0.250, 0.500)
Cu (0.000, 0.000, 0.000)
Au (0.500, 0.500, 0.000)
Br (0.265, 0.265, 0.531)
Br (0.265, 0.735, 0.000)
Br (0.735, 0.265, 0.000)
Br (0.735, 0.735, 0.469)
Cl (0.200, 0.200, 0.000)
Cl (0.800, 0.800, 0.000)



Record 2
Simulated X-ray powder pattern
Compound: HoTmInC
Radiation: Cu Kα X-rays
Structure: DFT lattice parameters and positions (PBE)
Kinematic intensities with the Lorentz-polarization factor, no thermal factor.

Most intense lines, 2θ = 5–70°, by angle:
10.94°, intensity 6; 28.93°, intensity 22; 29.46°, intensity 1; 33.24°, intensity 21; 33.45°, intensity 100; 44.64°, intensity 16; 51.26°, intensity 21; 59.53°, intensity 19; 59.94°, intensity 3; 62.48°, intensity 21; 62.61°, intensity 16; 69.79°, intensity 3

Structure:
Unit cell a=3.564 b=3.564 c=16.170 alpha=90.00 beta=90.00 gamma=120.00
Sites, in units of the cell vectors:
Ho (0.333, 0.667, 0.000)
Ho (0.667, 0.333, 0.500)
Tm (0.333, 0.667, 0.665)
Tm (0.667, 0.333, 0.165)
In (0.333, 0.667, 0.331)
In (0.667, 0.333, 0.831)
C (0.000, 0.000, 0.083)
C (0.000, 0.000, 0.583)



Record 3
Simulated X-ray powder pattern
Compound: Ag3AsS4
Radiation: Cu Kα X-rays
Structure: DFT lattice parameters and positions (PBE)
Kinematic intensities with the Lorentz-polarization factor, no thermal factor.

Most intense lines, 2θ = 5–70°, by angle:
25.18°, intensity 7; 28.21°, intensity 100; 30.97°, intensity 58; 40.32°, intensity 6; 44.37°, intensity 17; 46.28°, intensity 25; 48.14°, intensity 44; 51.70°, intensity 14; 55.09°, intensity 4; 58.35°, intensity 10; 59.93°, intensity 22; 61.49°, intensity 3

Structure:
Unit cell a=7.073 b=7.073 c=7.073 alpha=90.00 beta=90.00 gamma=90.00
Sites, in units of the cell vectors:
Ag (0.000, 0.250, 0.500)
Ag (0.000, 0.750, 0.500)
Ag (0.250, 0.500, 0.000)
Ag (0.500, 0.000, 0.250)
Ag (0.500, 0.000, 0.750)
Ag (0.750, 0.500, 0.000)
As (0.000, 0.000, 0.000)
As (0.500, 0.500, 0.500)
S (0.181, 0.181, 0.819)
S (0.181, 0.819, 0.181)
S (0.319, 0.319, 0.319)
S (0.319, 0.681, 0.681)
S (0.681, 0.319, 0.681)
S (0.681, 0.681, 0.319)
S (0.819, 0.181, 0.181)
S (0.819, 0.819, 0.819)



Record 4
Simulated X-ray powder pattern
Compound: NiSe2Br
Radiation: Cu Kα X-rays
Structure: DFT lattice parameters and positions (PBE)
Kinematic intensities with the Lorentz-polarization factor, no thermal factor.

Most intense lines, 2θ = 5–70°, by angle:
9.12°, intensity 100; 16.59°, intensity 24; 18.39°, intensity 10; 29.93°, intensity 9; 32.54°, intensity 9; 33.53°, intensity 55; 34.41°, intensity 10; 37.07°, intensity 25; 49.56°, intensity 8; 50.48°, intensity 10; 52.08°, intensity 8; 52.85°, intensity 8

Structure:
Unit cell a=3.617 b=6.242 c=9.898 alpha=93.47 beta=99.45 gamma=106.80
Sites, in units of the cell vectors:
Ni (0.102, 0.312, 0.381)
Ni (0.898, 0.688, 0.619)
Se (0.266, 0.423, 0.619)
Se (0.467, 0.040, 0.382)
Se (0.533, 0.960, 0.618)
Se (0.734, 0.577, 0.381)
Br (0.040, 0.755, 0.862)
Br (0.960, 0.245, 0.138)



Record 5
Simulated X-ray powder pattern
Compound: Nd2Al8Fe9
Radiation: Cu Kα X-rays
Structure: DFT lattice parameters and positions (PBE)
Kinematic intensities with the Lorentz-polarization factor, no thermal factor.

Most intense lines, 2θ = 5–70°, by angle:
13.61°, intensity 37; 29.47°, intensity 79; 30.78°, intensity 32; 35.42°, intensity 24; 37.11°, intensity 30; 41.13°, intensity 100; 41.65°, intensity 91; 42.63°, intensity 28; 43.17°, intensity 31; 46.72°, intensity 31; 60.76°, intensity 23; 61.14°, intensity 31

Structure:
Unit cell a=6.577 b=6.577 c=6.577 alpha=83.73 beta=83.73 gamma=83.73
Sites, in units of the cell vectors:
Nd (0.140, 0.140, 0.140)
Nd (0.860, 0.860, 0.860)
Al (0.189, 0.500, 0.811)
Al (0.189, 0.811, 0.500)
Al (0.381, 0.381, 0.381)
Al (0.500, 0.189, 0.811)
Al (0.500, 0.811, 0.189)
Al (0.619, 0.619, 0.619)
Al (0.811, 0.189, 0.500)
Al (0.811, 0.500, 0.189)
Fe (0.000, 0.500, 0.500)
Fe (0.165, 0.165, 0.658)
Fe (0.165, 0.658, 0.165)
Fe (0.342, 0.835, 0.835)
Fe (0.500, 0.000, 0.500)
Fe (0.500, 0.500, 0.000)
Fe (0.658, 0.165, 0.165)
Fe (0.835, 0.342, 0.835)
Fe (0.835, 0.835, 0.342)



Record 6
Simulated X-ray powder pattern
Compound: GeAsOsAu
Radiation: Cu Kα X-rays
Structure: DFT lattice parameters and positions (PBE)
Kinematic intensities with the Lorentz-polarization factor, no thermal factor.

Most intense lines, 2θ = 5–70°, by angle:
27.77°, intensity 23; 39.67°, intensity 100; 49.11°, intensity 7; 57.35°, intensity 17; 64.89°, intensity 9

Structure:
Unit cell a=6.426 b=6.426 c=6.426 alpha=90.00 beta=90.00 gamma=90.00
Sites, in units of the cell vectors:
Ge (0.000, 0.000, 0.000)
Ge (0.000, 0.500, 0.500)
Ge (0.500, 0.000, 0.500)
Ge (0.500, 0.500, 0.000)
As (0.000, 0.000, 0.500)
As (0.000, 0.500, 0.000)
As (0.500, 0.000, 0.000)
As (0.500, 0.500, 0.500)
Os (0.250, 0.250, 0.750)
Os (0.250, 0.750, 0.250)
Os (0.750, 0.250, 0.250)
Os (0.750, 0.750, 0.750)
Au (0.250, 0.250, 0.250)
Au (0.250, 0.750, 0.750)
Au (0.750, 0.250, 0.750)
Au (0.750, 0.750, 0.250)



Record 7
Simulated X-ray powder pattern
Compound: Cd2ClOF
Radiation: Cu Kα X-rays
Structure: DFT lattice parameters and positions (PBE)
Kinematic intensities with the Lorentz-polarization factor, no thermal factor.

Most intense lines, 2θ = 5–70°, by angle:
14.28°, intensity 72; 22.39°, intensity 78; 29.73°, intensity 34; 30.37°, intensity 100; 30.57°, intensity 16; 40.66°, intensity 11; 42.34°, intensity 34; 43.16°, intensity 26; 45.69°, intensity 25; 53.16°, intensity 20; 53.83°, intensity 18; 54.20°, intensity 24

Structure:
Unit cell a=6.891 b=6.891 c=5.850 alpha=90.00 beta=90.00 gamma=128.28
Sites, in units of the cell vectors:
Cd (0.073, 0.927, 0.776)
Cd (0.427, 0.573, 0.776)
Cd (0.573, 0.427, 0.224)
Cd (0.927, 0.073, 0.224)
Cl (0.250, 0.750, 0.592)
Cl (0.750, 0.250, 0.408)
O (0.250, 0.250, 0.000)
O (0.750, 0.750, 0.000)
F (0.250, 0.250, 0.500)
F (0.750, 0.750, 0.500)



Record 8
Simulated X-ray powder pattern
Compound: Cu2Ag3
Radiation: Cu Kα X-rays
Structure: DFT lattice parameters and positions (PBE)
Kinematic intensities with the Lorentz-polarization factor, no thermal factor.

Most intense lines, 2θ = 5–70°, by angle:
32.83°, intensity 4; 34.54°, intensity 8; 36.78°, intensity 15; 39.50°, intensity 100; 42.60°, intensity 11; 45.08°, intensity 42; 46.10°, intensity 3; 47.60°, intensity 7; 63.75°, intensity 10; 65.66°, intensity 13; 67.42°, intensity 4; 67.65°, intensity 9

Structure:
Unit cell a=2.844 b=2.844 c=19.102 alpha=90.00 beta=90.00 gamma=90.00
Sites, in units of the cell vectors:
Cu (0.000, 0.000, 0.000)
Cu (0.000, 0.000, 0.421)
Cu (0.000, 0.000, 0.579)
Cu (0.500, 0.500, 0.500)
Ag (0.000, 0.000, 0.210)
Ag (0.000, 0.000, 0.790)
Ag (0.500, 0.500, 0.097)
Ag (0.500, 0.500, 0.324)
Ag (0.500, 0.500, 0.676)
Ag (0.500, 0.500, 0.903)



Record 9
Simulated X-ray powder pattern
Compound: PrHoW2C3
Radiation: Cu Kα X-rays
Structure: DFT lattice parameters and positions (PBE)
Kinematic intensities with the Lorentz-polarization factor, no thermal factor.

Most intense lines, 2θ = 5–70°, by angle:
29.78°, intensity 23; 30.69°, intensity 23; 30.80°, intensity 31; 32.44°, intensity 39; 33.70°, intensity 27; 34.21°, intensity 100; 35.41°, intensity 77; 36.12°, intensity 34; 43.37°, intensity 23; 54.48°, intensity 18; 54.70°, intensity 25; 61.29°, intensity 16

Structure:
Unit cell a=12.091 b=3.369 c=5.824 alpha=90.00 beta=114.06 gamma=90.00
Sites, in units of the cell vectors:
Pr (0.000, 0.000, 0.000)
Pr (0.500, 0.500, 0.000)
Ho (0.217, 0.000, 0.632)
Ho (0.717, 0.500, 0.632)
W (0.262, 0.500, 0.130)
W (0.447, 0.000, 0.482)
W (0.762, 0.000, 0.130)
W (0.947, 0.500, 0.482)
C (0.108, 0.500, 0.795)
C (0.352, 0.000, 0.077)
C (0.354, 0.500, 0.537)
C (0.608, 0.000, 0.795)
C (0.852, 0.500, 0.077)
C (0.854, 0.000, 0.537)



Record 10
Simulated X-ray powder pattern
Compound: HoTm2Sc3Sb2Os
Radiation: Cu Kα X-rays
Structure: DFT lattice parameters and positions (PBE)
Kinematic intensities with the Lorentz-polarization factor, no thermal factor.

Most intense lines, 2θ = 5–70°, by angle:
22.85°, intensity 47; 25.15°, intensity 16; 26.44°, intensity 19; 31.47°, intensity 97; 34.23°, intensity 100; 35.22°, intensity 25; 40.13°, intensity 54; 41.56°, intensity 45; 43.49°, intensity 28; 53.75°, intensity 20; 60.65°, intensity 32; 64.25°, intensity 35

Structure:
Unit cell a=4.161 b=7.785 c=7.785 alpha=120.01 beta=90.00 gamma=90.00
Sites, in units of the cell vectors:
Ho (0.000, 0.000, 0.000)
Tm (0.000, 0.392, 0.783)
Tm (0.000, 0.783, 0.392)
Sc (0.500, 0.164, 0.393)
Sc (0.500, 0.393, 0.164)
Sc (0.500, 0.623, 0.623)
Sb (0.500, 0.059, 0.725)
Sb (0.500, 0.725, 0.059)
Os (0.000, 0.395, 0.395)



Record 11
Simulated X-ray powder pattern
Compound: Li2MgScSn2Pt2
Radiation: Cu Kα X-rays
Structure: DFT lattice parameters and positions (PBE)
Kinematic intensities with the Lorentz-polarization factor, no thermal factor.

Most intense lines, 2θ = 5–70°, by angle:
23.69°, intensity 81; 27.34°, intensity 1; 27.47°, intensity 1; 39.18°, intensity 100; 46.19°, intensity 14; 46.35°, intensity 28; 56.42°, intensity 6; 56.70°, intensity 11; 62.17°, intensity 12; 62.30°, intensity 6

Structure:
Unit cell a=4.592 b=4.592 c=6.524 alpha=90.00 beta=90.00 gamma=90.00
Sites, in units of the cell vectors:
Li (0.000, 0.500, 0.237)
Li (0.500, 0.000, 0.763)
Mg (0.500, 0.500, 0.000)
Sc (0.000, 0.000, 0.500)
Sn (0.000, 0.000, 0.000)
Sn (0.500, 0.500, 0.500)
Pt (0.000, 0.500, 0.747)
Pt (0.500, 0.000, 0.253)



Repeat the seventh record exactly.
Simulated X-ray powder pattern
Compound: Cd2ClOF
Radiation: Cu Kα X-rays
Structure: DFT lattice parameters and positions (PBE)
Kinematic intensities with the Lorentz-polarization factor, no thermal factor.

Most intense lines, 2θ = 5–70°, by angle:
14.28°, intensity 72; 22.39°, intensity 78; 29.73°, intensity 34; 30.37°, intensity 100; 30.57°, intensity 16; 40.66°, intensity 11; 42.34°, intensity 34; 43.16°, intensity 26; 45.69°, intensity 25; 53.16°, intensity 20; 53.83°, intensity 18; 54.20°, intensity 24

Structure:
Unit cell a=6.891 b=6.891 c=5.850 alpha=90.00 beta=90.00 gamma=128.28
Sites, in units of the cell vectors:
Cd (0.073, 0.927, 0.776)
Cd (0.427, 0.573, 0.776)
Cd (0.573, 0.427, 0.224)
Cd (0.927, 0.073, 0.224)
Cl (0.250, 0.750, 0.592)
Cl (0.750, 0.250, 0.408)
O (0.250, 0.250, 0.000)
O (0.750, 0.750, 0.000)
F (0.250, 0.250, 0.500)
F (0.750, 0.750, 0.500)